Diffraction record for AcGa2SiPt5. The powder X-ray diffraction pattern is calculated, not measured: it uses a PBE-relaxed structure and Cu Kα, 1.54184 Å.
Intensities are scaled so that the largest is 100.

Main lines, low angle first (2θ = 5–70°):
(1 0 3), 2θ = 27.84°, I 100; (1 2 1), 2θ = 37.45°, I 73; (2 0 0), 2θ = 38.80°, I 39; (0 0 6), 2θ = 40.73°, I 25; (0 2 4), 2θ = 41.57°, I 40; (2 2 4), 2θ = 58.17°, I 31

Structural model:
a b c (Å): 4.6420 5.7410 13.2916
angles (deg): 90.00 90.00 90.00
Space group Immm (No. 71)
One atom of each set of equivalent atoms:
Ac (0.0000, 0.0000, 0.0000) x2
Ga (0.0000, 0.5000, 0.1937) x4
Si (0.0000, 0.0000, 0.5000) x2
Pt (0.0000, 0.2478, 0.3486) x8
Pt (0.0000, 0.5000, 0.0000) x2